# 1
This entry pairs a crystal structure of Ba3Tl2Zn2Pd4 with its computed powder XRD pattern. Radiation: Cu Kα X-rays. Structure: a PBE-relaxed structure.
Peak positions follow from Bragg's law for the DFT cell and can differ from measured ones.

Principal peaks in the range 2θ from 15° to 90°, most intense first:
two_theta	I_rel
38.81	100
31.07	96
27.49	54
55.59	42
22.77	26
50.52	24
24.64	23
65.48	22
38.20	21
39.73	19

Cell and atoms:
Cell: 4.6412 4.6412 16.4931 Å, 90.00 90.00 120.00°
Space group P-3m1 (No. 164)
One atom of each set of equivalent atoms:
Ba (0.0000, 0.0000, 0.0000) (multiplicity 1)
Ba (0.0000, 0.0000, 0.2723) (multiplicity 2)
Tl (0.3333, 0.6667, 0.5660) (multiplicity 2)
Zn (0.3333, 0.6667, 0.1360) (multiplicity 2)
Pd (0.3333, 0.6667, 0.3912) (multiplicity 2)
Pd (0.3333, 0.6667, 0.8661) (multiplicity 2)

# 2
This entry pairs a crystal structure of BaTmPd with its computed powder XRD pattern. Radiation: Cu Kα X-rays. Structure: a PBE-relaxed structure.
Peak positions follow from Bragg's law for the DFT cell and can differ from measured ones.

Principal peaks in the range 2θ from 15° to 90°, most intense first:
two_theta	I_rel
34.79	100
23.45	75
35.21	69
28.73	62
31.97	59
47.97	43
27.04	39
45.72	34
24.19	34
29.34	32

Cell and atoms:
Cell: 22.8140 5.1572 7.7484 Å, 90.00 93.67 90.00°
Space group C2/m (No. 12)
One atom of each set of equivalent atoms:
Ba (0.0840, 0.0000, 0.3026) (multiplicity 4)
Ba (0.0902, 0.5000, 0.8266) (multiplicity 4)
Tm (0.2159, 0.0000, 0.6116) (multiplicity 4)
Tm (0.2391, 0.0000, 0.1343) (multiplicity 4)
Pd (0.1755, 0.5000, 0.5240) (multiplicity 4)
Pd (0.1869, 0.5000, 0.1535) (multiplicity 4)

# 3
This entry pairs a crystal structure of Ba3Zn2Pd4 with its computed powder XRD pattern. Radiation: Cu Kα X-rays. Structure: a PBE-relaxed structure.
Peak positions follow from Bragg's law for the DFT cell and can differ from measured ones.

Principal peaks in the range 2θ from 15° to 90°, most intense first:
two_theta	I_rel
29.77	100
39.71	48
56.69	29
50.41	23
66.01	20
38.75	15
84.97	9
72.08	8
64.67	7
85.59	5

Cell and atoms:
Cell: 4.5391 4.5391 27.8857 Å, 90.00 90.00 120.00°
Space group P-6m2 (No. 187)
One atom of each set of equivalent atoms:
Ba (0.0000, 0.0000, 0.0790) (multiplicity 2)
Ba (0.0000, 0.0000, 0.2494) (multiplicity 2)
Ba (0.0000, 0.0000, 0.4056) (multiplicity 2)
Zn (0.3333, 0.6667, 0.5000) (multiplicity 1)
Zn (0.6667, 0.3333, 0.1640) (multiplicity 2)
Zn (0.6667, 0.3333, 0.5000) (multiplicity 1)
Pd (0.3333, 0.6667, 0.0000) (multiplicity 1)
Pd (0.3333, 0.6667, 0.1641) (multiplicity 2)
Pd (0.3333, 0.6667, 0.3285) (multiplicity 2)
Pd (0.6667, 0.3333, 0.0000) (multiplicity 1)
Pd (0.6667, 0.3333, 0.3281) (multiplicity 2)

# 4
This entry pairs a crystal structure of BaZn4Pd with its computed powder XRD pattern. Radiation: Cu Kα X-rays. Structure: a PBE-relaxed structure.
Peak positions follow from Bragg's law for the DFT cell and can differ from measured ones.

Principal peaks in the range 2θ from 15° to 90°, most intense first:
two_theta	I_rel
39.61	100
34.70	66
34.82	65
20.54	57
41.78	43
28.48	32
45.87	30
46.17	29
60.69	25
19.51	21

Cell and atoms:
Cell: 8.6476 5.3518 6.2673 Å, 90.00 90.41 90.00°
Space group C2/m (No. 12)
One atom of each set of equivalent atoms:
Ba (0.0000, 0.0000, 0.0000) (multiplicity 2)
Zn (0.9997, 0.5000, 0.3004) (multiplicity 4)
Zn (0.2500, 0.2500, 0.5000) (multiplicity 4)
Pd (0.0000, 0.0000, 0.5000) (multiplicity 2)

# 5
This entry pairs a crystal structure of Ba3Zn4Pd4 with its computed powder XRD pattern. Radiation: Cu Kα X-rays. Structure: a PBE-relaxed structure.
Peak positions follow from Bragg's law for the DFT cell and can differ from measured ones.

Principal peaks in the range 2θ from 15° to 90°, most intense first:
two_theta	I_rel
32.45	100
31.68	100
39.06	51
40.77	48
34.50	43
35.72	37
57.73	33
53.09	25
51.95	24
66.12	24

Cell and atoms:
Cell: 4.6126 7.3382 15.5970 Å, 90.00 90.00 90.00°
Space group Immm (No. 71)
One atom of each set of equivalent atoms:
Ba (0.0000, 0.0000, 0.0000) (multiplicity 2)
Ba (0.0000, 0.5000, 0.1454) (multiplicity 4)
Zn (0.0000, 0.0000, 0.2080) (multiplicity 4)
Zn (0.0000, 0.1797, 0.5000) (multiplicity 4)
Pd (0.0000, 0.3134, 0.3421) (multiplicity 8)

# 6
This entry pairs a crystal structure of BaZn3Pd3 with its computed powder XRD pattern. Radiation: Cu Kα X-rays. Structure: a PBE-relaxed structure.
Peak positions follow from Bragg's law for the DFT cell and can differ from measured ones.

Principal peaks in the range 2θ from 15° to 90°, most intense first:
two_theta	I_rel
29.04	100
40.98	82
41.61	65
45.53	56
35.99	54
32.10	42
22.07	21
52.92	19
25.17	18
46.53	14

Cell and atoms:
Cell: 6.7615 6.7615 22.1954 Å, 90.00 90.00 120.00°
Space group R-3 (No. 148, hexagonal axes)
One atom of each set of equivalent atoms:
Ba (0.0000, 0.0000, 0.1636) (multiplicity 6)
Zn (0.0351, 0.6029, 0.3688) (multiplicity 18)
Pd (0.0118, 0.7714, 0.5861) (multiplicity 18)

# 7
This entry pairs a crystal structure of Ba3Zn4Pd4 with its computed powder XRD pattern. Radiation: Cu Kα X-rays. Structure: a PBE-relaxed structure.
Peak positions follow from Bragg's law for the DFT cell and can differ from measured ones.

Principal peaks in the range 2θ from 15° to 90°, most intense first:
two_theta	I_rel
31.23	100
35.03	91
41.73	53
47.63	44
26.96	27
65.15	26
15.47	25
38.50	24
78.30	23
50.38	23

Cell and atoms:
Cell: 8.0996 8.0996 8.0996 Å, 90.00 90.00 90.00°
Space group I-43m (No. 217)
One atom of each set of equivalent atoms:
Ba (0.0000, 0.0000, 0.5000) (multiplicity 6)
Zn (0.1929, 0.1929, 0.1929) (multiplicity 8)
Pd (0.1262, 0.1262, 0.8738) (multiplicity 8)

# 8
This entry pairs a crystal structure of BaZn9Pd3 with its computed powder XRD pattern. Radiation: Cu Kα X-rays. Structure: a PBE-relaxed structure.
Peak positions follow from Bragg's law for the DFT cell and can differ from measured ones.

Principal peaks in the range 2θ from 15° to 90°, most intense first:
two_theta	I_rel
38.95	100
39.50	63
44.11	62
38.85	53
39.17	50
33.88	31
43.23	29
19.18	29
38.34	27
27.55	26

Cell and atoms:
Cell: 5.3028 12.9697 7.0466 Å, 90.00 110.59 90.00°
Space group C2/m (No. 12)
One atom of each set of equivalent atoms:
Ba (0.0000, 0.0000, 0.0000) (multiplicity 2)
Zn (0.0000, 0.5000, 0.5000) (multiplicity 2)
Zn (0.1135, 0.3794, 0.2393) (multiplicity 8)
Zn (0.1553, 0.1803, 0.3496) (multiplicity 8)
Pd (0.0000, 0.0000, 0.5000) (multiplicity 2)
Pd (0.2500, 0.2500, 0.0000) (multiplicity 4)